No. 1
The following is a calculated powder XRD pattern of Rb3Sn4Br12. It was derived from a PBE-relaxed structure, using CuKα.
Lines closer than 0.1° are merged.

Crystal structure
```
data_Rb3Sn4Br12
_chemical_formula_sum 'Rb3 Sn4 Br12'
_cell_length_a 9.939
_cell_length_b 9.939
_cell_length_c 9.939
_cell_angle_alpha 109.47
_cell_angle_beta 109.47
_cell_angle_gamma 109.47
_space_group_name_H-M_alt 'P 1'
_space_group_IT_number 1
loop_
_space_group_symop_operation_xyz
'x,y,z'
loop_
_atom_site_label
_atom_site_fract_x
_atom_site_fract_y
_atom_site_fract_z
_atom_site_occupancy
Rb1 0.000 0.500 0.500 1
Rb2 0.500 0.000 0.500 1
Rb3 0.500 0.500 0.000 1
Sn1 0.000 0.000 0.500 1
Sn2 0.000 0.500 0.000 1
Sn3 0.500 0.000 0.000 1
Sn4 0.500 0.500 0.500 1
Br1 0.058 0.774 0.283 1
Br2 0.226 0.283 0.509 1
Br3 0.226 0.717 0.942 1
Br4 0.283 0.058 0.774 1
Br5 0.283 0.509 0.226 1
Br6 0.491 0.774 0.717 1
Br7 0.509 0.226 0.283 1
Br8 0.717 0.491 0.774 1
Br9 0.717 0.942 0.226 1
Br10 0.774 0.283 0.058 1
Br11 0.774 0.717 0.491 1
Br12 0.942 0.226 0.717 1
```

Principal peaks in the range 15 to 90 degrees two-theta, most intense first:
2θ = 31.17°, 2.869 Å, I = 100.0
2θ = 44.67°, 2.029 Å, I = 60.1
2θ = 15.44°, 5.738 Å, I = 57.4
2θ = 21.91°, 4.057 Å, I = 33.5
2θ = 26.91°, 3.313 Å, I = 32.9
2θ = 34.97°, 2.566 Å, I = 32.4
2θ = 38.43°, 2.343 Å, I = 31.1
2θ = 29.11°, 3.067 Å, I = 20.0
2θ = 69.50°, 1.352 Å, I = 17.5
2θ = 55.47°, 1.656 Å, I = 17.4

No. 2
The following is a calculated powder XRD pattern of Mg3GePt2. It was derived from a PBE-relaxed structure, using CuKα.
Lines closer than 0.1° are merged.

Crystal structure
```
data_Mg3GePt2
_chemical_formula_sum 'Mg6 Ge2 Pt4'
_cell_length_a 6.604
_cell_length_b 6.604
_cell_length_c 6.604
_cell_angle_alpha 69.00
_cell_angle_beta 69.00
_cell_angle_gamma 69.00
_space_group_name_H-M_alt 'P 1'
_space_group_IT_number 1
loop_
_space_group_symop_operation_xyz
'x,y,z'
loop_
_atom_site_label
_atom_site_fract_x
_atom_site_fract_y
_atom_site_fract_z
_atom_site_occupancy
Mg1 0.066 0.750 0.434 1
Mg2 0.250 0.566 0.934 1
Mg3 0.434 0.066 0.750 1
Mg4 0.566 0.934 0.250 1
Mg5 0.750 0.434 0.066 1
Mg6 0.934 0.250 0.566 1
Ge1 0.000 0.000 0.000 1
Ge2 0.500 0.500 0.500 1
Pt1 0.161 0.161 0.161 1
Pt2 0.339 0.339 0.339 1
Pt3 0.661 0.661 0.661 1
Pt4 0.839 0.839 0.839 1
```

Principal peaks in the range 15 to 90 degrees two-theta, most intense first:
2θ = 23.79°, 3.740 Å, I = 100.0
2θ = 43.57°, 2.077 Å, I = 55.3
2θ = 41.83°, 2.160 Å, I = 37.0
2θ = 77.60°, 1.230 Å, I = 20.2
2θ = 61.99°, 1.497 Å, I = 19.4
2θ = 56.31°, 1.634 Å, I = 15.7
2θ = 48.69°, 1.870 Å, I = 15.1
2θ = 66.09°, 1.414 Å, I = 12.3
2θ = 18.10°, 4.901 Å, I = 9.8
2θ = 27.50°, 3.244 Å, I = 9.6

No. 3
The following is a calculated powder XRD pattern of Ba4Nd4Zn3PtO15. It was derived from a PBE-relaxed structure, using CuKα.
Lines closer than 0.1° are merged.

Crystal structure
```
data_Ba4Nd4Zn3PtO15
_chemical_formula_sum 'Ba8 Nd8 Zn6 Pt2 O30'
_cell_length_a 11.881
_cell_length_b 11.881
_cell_length_c 6.868
_cell_angle_alpha 90.00
_cell_angle_beta 90.00
_cell_angle_gamma 120.00
_space_group_name_H-M_alt 'P 1'
_space_group_IT_number 1
loop_
_space_group_symop_operation_xyz
'x,y,z'
loop_
_atom_site_label
_atom_site_fract_x
_atom_site_fract_y
_atom_site_fract_z
_atom_site_occupancy
Ba1 0.173 0.346 0.000 1
Ba2 0.173 0.827 0.000 1
Ba3 0.333 0.667 0.681 1
Ba4 0.346 0.173 0.500 1
Ba5 0.654 0.827 0.000 1
Ba6 0.667 0.333 0.181 1
Ba7 0.827 0.173 0.500 1
Ba8 0.827 0.654 0.500 1
Nd1 0.000 0.000 0.183 1
Nd2 0.000 0.000 0.683 1
Nd3 0.046 0.523 0.342 1
Nd4 0.477 0.523 0.342 1
Nd5 0.477 0.954 0.342 1
Nd6 0.523 0.046 0.842 1
Nd7 0.523 0.477 0.842 1
Nd8 0.954 0.477 0.842 1
Zn1 0.171 0.343 0.517 1
Zn2 0.171 0.829 0.517 1
Zn3 0.343 0.171 0.017 1
Zn4 0.657 0.829 0.517 1
Zn5 0.829 0.171 0.017 1
Zn6 0.829 0.657 0.017 1
Pt1 0.333 0.667 0.157 1
Pt2 0.667 0.333 0.657 1
O1 0.057 0.395 0.641 1
O2 0.057 0.662 0.641 1
O3 0.083 0.167 0.412 1
O4 0.083 0.917 0.412 1
O5 0.167 0.083 0.912 1
O6 0.167 0.583 0.997 1
O7 0.251 0.502 0.330 1
O8 0.251 0.749 0.330 1
O9 0.338 0.395 0.641 1
O10 0.338 0.943 0.641 1
O11 0.395 0.057 0.141 1
O12 0.395 0.338 0.141 1
O13 0.417 0.583 0.997 1
O14 0.417 0.833 0.997 1
O15 0.498 0.749 0.330 1
O16 0.502 0.251 0.830 1
O17 0.583 0.167 0.497 1
O18 0.583 0.417 0.497 1
O19 0.605 0.662 0.641 1
O20 0.605 0.943 0.641 1
O21 0.662 0.057 0.141 1
O22 0.662 0.605 0.141 1
O23 0.749 0.251 0.830 1
O24 0.749 0.498 0.830 1
O25 0.833 0.417 0.497 1
O26 0.833 0.917 0.412 1
O27 0.917 0.083 0.912 1
O28 0.917 0.833 0.912 1
O29 0.943 0.338 0.141 1
O30 0.943 0.605 0.141 1
```

Principal peaks in the range 15 to 90 degrees two-theta, most intense first:
2θ = 30.08°, 2.971 Å, I = 100.0
2θ = 31.32°, 2.856 Å, I = 28.2
2θ = 37.05°, 2.427 Å, I = 27.1
2θ = 48.44°, 1.879 Å, I = 18.4
2θ = 62.53°, 1.485 Å, I = 17.7
2θ = 53.42°, 1.715 Å, I = 16.3
2θ = 43.98°, 2.059 Å, I = 11.5
2θ = 68.85°, 1.364 Å, I = 8.4
2θ = 40.40°, 2.233 Å, I = 7.7
2θ = 54.20°, 1.692 Å, I = 7.6

No. 4
The following is a calculated powder XRD pattern of CoCuRh2. It was derived from a PBE-relaxed structure, using CuKα.
Lines closer than 0.1° are merged.

Crystal structure
```
data_CoCuRh2
_chemical_formula_sum 'Co3 Cu3 Rh6'
_cell_length_a 2.680
_cell_length_b 2.680
_cell_length_c 25.405
_cell_angle_alpha 90.00
_cell_angle_beta 90.00
_cell_angle_gamma 120.00
_space_group_name_H-M_alt 'P 1'
_space_group_IT_number 1
loop_
_space_group_symop_operation_xyz
'x,y,z'
loop_
_atom_site_label
_atom_site_fract_x
_atom_site_fract_y
_atom_site_fract_z
_atom_site_occupancy
Co1 0.000 0.000 0.000 1
Co2 0.333 0.667 0.667 1
Co3 0.667 0.333 0.333 1
Cu1 0.000 0.000 0.834 1
Cu2 0.333 0.667 0.500 1
Cu3 0.667 0.333 0.167 1
Rh1 0.000 0.000 0.253 1
Rh2 0.000 0.000 0.414 1
Rh3 0.333 0.667 0.081 1
Rh4 0.333 0.667 0.919 1
Rh5 0.667 0.333 0.586 1
Rh6 0.667 0.333 0.748 1
```

Principal peaks in the range 15 to 90 degrees two-theta, most intense first:
2θ = 42.84°, 2.111 Å, I = 100.0
2θ = 46.44°, 1.955 Å, I = 89.8
2θ = 42.71°, 2.117 Å, I = 49.4
2θ = 85.84°, 1.132 Å, I = 49.0
2θ = 39.47°, 2.283 Å, I = 41.1
2θ = 70.24°, 1.340 Å, I = 32.3
2θ = 83.42°, 1.159 Å, I = 18.5
2θ = 20.98°, 4.234 Å, I = 17.8
2θ = 38.97°, 2.311 Å, I = 16.8
2θ = 75.69°, 1.256 Å, I = 14.2

No. 5
The following is a calculated powder XRD pattern of Zr3Zn4Cu2. It was derived from a PBE-relaxed structure, using CuKα.
Lines closer than 0.1° are merged.

Crystal structure
```
data_Zr3Zn4Cu2
_chemical_formula_sum 'Zr6 Zn8 Cu4'
_cell_length_a 7.677
_cell_length_b 7.677
_cell_length_c 5.865
_cell_angle_alpha 90.00
_cell_angle_beta 90.00
_cell_angle_gamma 120.08
_space_group_name_H-M_alt 'P 1'
_space_group_IT_number 1
loop_
_space_group_symop_operation_xyz
'x,y,z'
loop_
_atom_site_label
_atom_site_fract_x
_atom_site_fract_y
_atom_site_fract_z
_atom_site_occupancy
Zr1 0.000 0.000 0.250 1
Zr2 0.000 0.000 0.750 1
Zr3 0.329 0.671 0.250 1
Zr4 0.329 0.671 0.750 1
Zr5 0.671 0.329 0.250 1
Zr6 0.671 0.329 0.750 1
Zn1 0.001 0.331 0.500 1
Zn2 0.331 0.001 0.000 1
Zn3 0.333 0.336 0.000 1
Zn4 0.336 0.333 0.500 1
Zn5 0.664 0.667 0.500 1
Zn6 0.667 0.664 0.000 1
Zn7 0.669 0.999 0.000 1
Zn8 0.999 0.669 0.500 1
Cu1 0.002 0.335 0.000 1
Cu2 0.335 0.002 0.500 1
Cu3 0.665 0.998 0.500 1
Cu4 0.998 0.665 0.000 1
```

Principal peaks in the range 15 to 90 degrees two-theta, most intense first:
2θ = 38.64°, 2.330 Å, I = 100.0
2θ = 40.73°, 2.215 Å, I = 87.9
2θ = 57.39°, 1.606 Å, I = 29.9
2θ = 72.74°, 1.300 Å, I = 28.2
2θ = 78.17°, 1.223 Å, I = 23.5
2θ = 74.10°, 1.280 Å, I = 9.0
2θ = 63.44°, 1.466 Å, I = 7.5
2θ = 88.26°, 1.107 Å, I = 5.8
2θ = 74.20°, 1.278 Å, I = 4.6
2θ = 23.18°, 3.837 Å, I = 3.8

No. 6
The following is a calculated powder XRD pattern of Nd3Cu3Si. It was derived from a PBE-relaxed structure, using CuKα.
Lines closer than 0.1° are merged.

Crystal structure
```
data_Nd3Cu3Si
_chemical_formula_sum 'Nd6 Cu6 Si2'
_cell_length_a 5.659
_cell_length_b 5.659
_cell_length_c 14.852
_cell_angle_alpha 108.09
_cell_angle_beta 108.09
_cell_angle_gamma 43.72
_space_group_name_H-M_alt 'P 1'
_space_group_IT_number 1
loop_
_space_group_symop_operation_xyz
'x,y,z'
loop_
_atom_site_label
_atom_site_fract_x
_atom_site_fract_y
_atom_site_fract_z
_atom_site_occupancy
Nd1 0.040 0.040 0.392 1
Nd2 0.099 0.099 0.919 1
Nd3 0.258 0.258 0.237 1
Nd4 0.742 0.742 0.763 1
Nd5 0.901 0.901 0.081 1
Nd6 0.960 0.960 0.608 1
Cu1 0.357 0.357 0.460 1
Cu2 0.397 0.397 0.922 1
Cu3 0.448 0.448 0.763 1
Cu4 0.552 0.552 0.237 1
Cu5 0.603 0.603 0.078 1
Cu6 0.643 0.643 0.540 1
Si1 0.252 0.252 0.607 1
Si2 0.748 0.748 0.393 1
```

Principal peaks in the range 15 to 90 degrees two-theta, most intense first:
2θ = 32.13°, 2.786 Å, I = 100.0
2θ = 33.38°, 2.684 Å, I = 59.8
2θ = 31.89°, 2.807 Å, I = 49.5
2θ = 42.92°, 2.107 Å, I = 48.7
2θ = 40.08°, 2.250 Å, I = 48.5
2θ = 34.15°, 2.626 Å, I = 40.6
2θ = 38.60°, 2.333 Å, I = 36.4
2θ = 27.73°, 3.218 Å, I = 32.4
2θ = 33.48°, 2.677 Å, I = 29.2
2θ = 25.80°, 3.453 Å, I = 26.4